# 1
This entry pairs a crystal structure of Al4CdSe with its computed PXRD pattern. Radiation: Cu Kα (λ = 1.5418 Å). Structure: a GGA-PBE-relaxed structure.
Peak positions follow from Bragg's law for the DFT cell and can differ from measured ones.

Most intense lines, 2θ from 5° to 70°, by angle:
| 2theta | d [Å] | I_rel |
| --- | --- | --- |
| 19.74 | 4.498 | 35 |
| 22.83 | 3.895 | 3 |
| 32.51 | 2.754 | 80 |
| 38.32 | 2.349 | 100 |
| 40.10 | 2.249 | 10 |
| 46.64 | 1.948 | 3 |
| 51.11 | 1.787 | 9 |
| 58.00 | 1.590 | 29 |
| 61.89 | 1.499 | 31 |
| 68.09 | 1.377 | 22 |

Structural model:
```
Al4CdSe
1.0
0.0000 3.8951 3.8951
3.8951 0.0000 3.8951
3.8951 3.8951 0.0000
Al Cd Se
4 1 1
Cartesian
0.9686 0.9686 0.9686 Al
2.9265 2.9265 0.9686 Al
2.9265 0.9686 2.9265 Al
0.9686 2.9265 2.9265 Al
5.8426 5.8426 5.8426 Cd
3.8951 3.8951 3.8951 Se
```

=====

# 2
This entry pairs a crystal structure of Sr3Al3Cd with its computed PXRD pattern. Radiation: Cu Kα (λ = 1.5418 Å). Structure: a GGA-PBE-relaxed structure.
Peak positions follow from Bragg's law for the DFT cell and can differ from measured ones.

Most intense lines, 2θ from 5° to 70°, by angle:
| 2theta | d [Å] | I_rel |
| --- | --- | --- |
| 5.90 | 14.982 | 76 |
| 24.67 | 3.609 | 30 |
| 28.63 | 3.118 | 100 |
| 28.74 | 3.107 | 42 |
| 29.37 | 3.042 | 98 |
| 30.63 | 2.919 | 33 |
| 32.97 | 2.717 | 29 |
| 35.97 | 2.497 | 83 |
| 36.57 | 2.457 | 59 |
| 49.70 | 1.834 | 27 |

Structural model:
```
Sr3Al3Cd
1.0
5.8615 -2.4574 0.0000
5.8615 2.4574 0.0000
-5.7237 0.0000 14.9815
Sr Al Cd
6 6 2
Cartesian
-1.7223 0.0000 5.7216 Sr
-4.0150 0.0000 13.8356 Sr
1.6269 0.0000 3.4232 Sr
4.3724 0.0000 11.5583 Sr
10.0143 0.0000 1.1459 Sr
7.7216 0.0000 9.2599 Sr
1.7728 0.0000 6.9068 Al
-0.5070 0.0000 13.8189 Al
0.8927 0.0000 11.5496 Al
5.1065 0.0000 3.4319 Al
6.5062 0.0000 1.1627 Al
4.2264 0.0000 8.0748 Al
-0.5099 0.0000 9.0220 Cd
6.5092 0.0000 5.9595 Cd
```

=====

# 3
This entry pairs a crystal structure of Sr2Al3Cd5 with its computed PXRD pattern. Radiation: Cu Kα (λ = 1.5418 Å). Structure: a GGA-PBE-relaxed structure.
Peak positions follow from Bragg's law for the DFT cell and can differ from measured ones.

Most intense lines, 2θ from 5° to 70°, by angle:
| 2theta | d [Å] | I_rel |
| --- | --- | --- |
| 7.31 | 12.100 | 40 |
| 24.36 | 3.654 | 24 |
| 29.50 | 3.028 | 30 |
| 31.30 | 2.858 | 100 |
| 35.54 | 2.526 | 19 |
| 39.30 | 2.293 | 48 |
| 40.80 | 2.212 | 24 |
| 42.22 | 2.140 | 22 |
| 49.90 | 1.828 | 17 |
| 66.29 | 1.410 | 22 |

Structural model:
```
Sr2Al3Cd5
1.0
4.5853 0.0000 0.0000
0.0000 4.5853 0.0000
0.0000 0.0000 12.0999
Sr Al Cd
2 3 5
Cartesian
0.0000 2.2927 2.7966 Sr
2.2927 0.0000 9.3033 Sr
0.0000 0.0000 0.0000 Al
0.0000 2.2927 10.5898 Al
2.2927 0.0000 1.5101 Al
0.0000 0.0000 6.0500 Cd
0.0000 2.2927 7.8973 Cd
2.2927 0.0000 4.2027 Cd
2.2927 2.2927 0.0000 Cd
2.2927 2.2927 6.0500 Cd
```

=====

# 4
This entry pairs a crystal structure of Ta2AlCd with its computed PXRD pattern. Radiation: Cu Kα (λ = 1.5418 Å). Structure: a GGA-PBE-relaxed structure.
Peak positions follow from Bragg's law for the DFT cell and can differ from measured ones.

Most intense lines, 2θ from 5° to 70°, by angle:
| 2theta | d [Å] | I_rel |
| --- | --- | --- |
| 19.96 | 4.448 | 22 |
| 24.32 | 3.660 | 10 |
| 31.50 | 2.840 | 15 |
| 37.58 | 2.394 | 100 |
| 40.57 | 2.224 | 20 |
| 45.15 | 2.008 | 30 |
| 49.82 | 1.830 | 9 |
| 52.25 | 1.751 | 8 |
| 62.30 | 1.490 | 23 |
| 65.77 | 1.420 | 10 |

Structural model:
```
Ta2AlCd
1.0
4.0161 0.0000 0.0000
0.0000 4.0161 0.0000
0.0000 0.0000 8.8955
Ta Al Cd
4 2 2
Cartesian
0.0000 2.0081 2.2239 Ta
0.0000 2.0081 6.6716 Ta
2.0081 0.0000 2.2239 Ta
2.0081 0.0000 6.6716 Ta
0.0000 0.0000 0.0000 Al
2.0081 2.0081 4.4478 Al
0.0000 0.0000 4.4478 Cd
2.0081 2.0081 0.0000 Cd
```